EuCuSi3: calculated powder diffraction line list (Cu Kα (λ = 1.5418 Å)), based on a DFT-relaxed cell (PBE, the Materials Project).

Cell lengths 4.3117, 4.3117, 9.3867 Å; angles 90.00, 90.00, 90.00 degrees
Space group I-4m2 (No. 119)
One atom of each set of equivalent atoms:
Eu (0.0000, 0.0000, 0.0000) x2
Cu (0.0000, 0.5000, 0.7500) x2
Si (0.0000, 0.0000, 0.3734) x4
Si (0.0000, 0.5000, 0.2500) x2

Principal peaks in the range 2θ from 15° to 90°, most intense first:
2θ/deg	I_rel	h k l
35.1	100	1 1 2
22.7	66	1 0 1
35.4	62	1 0 3
41.9	46	2 0 0
56.0	32	2 1 3
72.1	23	3 1 2
48.2	19	2 1 1
53.2	18	1 0 5
29.3	16	1 1 0
69.9	16	2 1 5